Calculated powder diffractogram
Compound: LiMnPH2O5
Radiation: CuKα
Structure: a GGA+U-relaxed structure
Kinematic intensities with the Lorentz-polarization factor, no thermal factor.

Crystal structure
```
20
Lattice="5.6617 0.0000 0.0000 0.0000 8.3979 0.0000 0.0000 0.0000 4.8503" Properties=species:S:1:pos:R:3 pbc="T T T"
Li 0.0000 0.5817 0.0000
Li 2.8308 7.8163 2.4251
Mn 0.0000 4.0183 0.7154
Mn 2.8308 4.3797 3.1405
P 0.0000 6.0639 3.4846
P 2.8308 2.3341 1.0595
H 0.7820 2.4307 3.3198
H 2.0488 5.9672 0.8946
H 3.6129 5.9672 0.8946
H 4.8797 2.4307 3.3198
O 0.0000 2.3180 3.9295
O 0.0000 5.7059 1.9941
O 0.0000 7.5776 3.6904
O 1.2448 5.3834 4.1950
O 1.5861 3.0146 1.7698
O 2.8308 0.8203 1.2653
O 2.8308 2.6921 4.4192
O 2.8308 6.0800 1.5044
O 4.0756 3.0146 1.7698
O 4.4169 5.3834 4.1950
```

Main lines, in order of rising 2θ (15° ≤ 2θ ≤ 90°):
index	d [Å]	2θ (°)	I/Imax
1 1 0	4.694	18.90	28.1
0 1 1	4.200	21.15	33.2
1 0 1	3.683	24.16	15.6
1 1 1	3.373	26.42	68.1
2 0 0	2.831	31.61	40.8
1 2 1	2.769	32.33	100.0
0 0 2	2.425	37.07	15.0
2 1 1	2.347	38.34	17.2
1 3 1	2.229	40.47	30.6
2 1 2	1.799	50.75	14.6
2 4 0	1.686	54.40	18.5
3 2 1	1.622	56.75	15.7